# EuHfCrBiO6
Simulated powder diffraction line list, Cu Kα, 1.54184 Å. Input: DFT lattice parameters and positions (GGA+U).
Peak positions follow from Bragg's law for the DFT cell and can differ from measured ones.

Structure:
```
data_EuHfCrBiO6
_chemical_formula_sum 'Eu4 Hf4 Cr4 Bi4 O24'
_space_group_name_H-M_alt 'F -4 3 m'
_space_group_IT_number 216
_space_group_name_Hall 'F -4 2 3'
_cell_length_a 8.042
_cell_length_b 8.042
_cell_length_c 8.042
_cell_angle_alpha 90.00
_cell_angle_beta 90.00
_cell_angle_gamma 90.00
loop_
_atom_site_label
_atom_site_fract_x
_atom_site_fract_y
_atom_site_fract_z
_atom_site_occupancy
Eu1 0.000 0.000 0.000 1
Hf1 0.250 0.250 0.250 1
Cr1 0.250 0.250 0.750 1
Bi1 0.000 0.000 0.500 1
O1 0.005 0.250 0.750 1
```

Largest 10 diffraction maxima, low angle first, 10° ≤ 2θ ≤ 90°:
index, 2θ (°), Rel. int.
1 1 1, 19.1, 12
2 2 0, 31.5, 100
3 1 1, 37.1, 8
2 2 2, 38.8, 6
4 0 0, 45.1, 28
3 3 1, 49.4, 4
4 2 2, 56.0, 40
4 4 0, 65.7, 17
6 2 0, 74.6, 18
4 4 4, 83.2, 6